No. 1
Computed powder diffraction line list of BaLaTiFeO6 for Cu Kα, from DFT lattice parameters and positions (PBE+U).
Neutral-atom scattering factors, no anomalous dispersion.

Main lines, by angle (2θ from 5° to 70°):
2θ = 22.24°, intensity 16; 2θ = 31.66°, intensity 100; 2θ = 39.03°, intensity 22; 2θ = 45.38°, intensity 34; 2θ = 51.10°, intensity 8; 2θ = 56.38°, intensity 38; 2θ = 66.12°, intensity 20

```
BaLaTiFeO6
1.0
0.0000 3.9971 3.9971
3.9971 0.0000 3.9971
3.9971 3.9971 0.0000
Ba La Ti Fe O
1 1 1 1 6
Cartesian
0.0000 0.0000 0.0000
3.9971 3.9971 3.9971
5.9956 5.9956 5.9956
1.9985 1.9985 1.9985
5.9956 5.9956 4.0237
5.9956 4.0237 5.9956
7.9675 5.9956 5.9956
4.0237 5.9956 5.9956
5.9956 7.9675 5.9956
5.9956 5.9956 7.9675
```



No. 2
Computed powder diffraction line list of Ba2LiY2Fe4O10 for Cu Kα, from DFT lattice parameters and positions (PBE+U).
Neutral-atom scattering factors, no anomalous dispersion.

Main lines, by angle (2θ from 5° to 70°):
2θ = 29.77°, intensity 47; 2θ = 29.90°, intensity 39; 2θ = 31.73°, intensity 100; 2θ = 32.31°, intensity 61; 2θ = 32.79°, intensity 62; 2θ = 38.19°, intensity 20; 2θ = 45.02°, intensity 36; 2θ = 45.93°, intensity 30

```
Ba2LiY2Fe4O10
1.0
3.9680 0.0000 0.0000
0.0800 8.0805 0.0000
0.7504 0.6589 8.2347
Ba Li Y Fe O
2 1 2 4 10
Cartesian
0.0000 0.0000 0.0000
0.5909 4.3068 0.9466
1.5653 1.3591 1.9554
0.7884 0.4912 4.7270
0.8700 4.7901 4.7865
2.8024 2.7394 6.5894
2.8952 6.6110 6.6957
2.7776 6.6517 2.8014
2.8844 2.6617 3.3677
0.8231 2.6708 6.1222
0.9222 6.7170 6.2379
0.7558 6.6632 3.4141
0.8729 2.5634 3.2862
1.9885 2.0016 0.2719
2.2647 6.2544 0.5908
2.8066 0.7420 6.1174
2.8420 4.6462 6.0348
2.7539 0.6094 3.2226
2.8219 4.5931 3.1863
```